Structure and computed powder diffractogram of BaBiCl (a structure optimized by DFT (PBE); Cu Ka).
Lines closer than 0.1° are merged.

Principal peaks in the range 15 to 90 degrees two-theta, in order of rising 2θ:
2theta  Rel. int.
24.43  29
28.34  10
30.65  100
32.78  15
34.87  36
39.26  15
40.86  13
54.43  15
65.86  11
68.14  18

Structural model:
```
BaBiCl
1.0
2.2087 -10.9291 0.0000
2.2087 10.9291 0.0000
0.0000 0.0000 4.5901
Ba Bi Cl
2 2 2
direct
0.1169 0.8831 0.7500
0.8831 0.1169 0.2500
0.2480 0.7520 0.2500
0.7520 0.2480 0.7500
0.4252 0.5748 0.7500
0.5748 0.4252 0.2500
```